Starting from a GGA-PBE-relaxed structure, the powder X-ray diffraction pattern of HoB4Ru4 was simulated for CuKα.

Peak list (12 most intense, 2θ = 10–80°, in order of falling intensity)
(3 1 2), 39.95 deg, intensity 100.0
(2 1 3), 32.16 deg, intensity 58.4
(1 1 6), 39.79 deg, intensity 42.8
(2 1 5), 40.32 deg, intensity 35.5
(2 0 4), 33.82 deg, intensity 29.4
(4 0 8), 71.10 deg, intensity 24.9
(5 1 2), 64.73 deg, intensity 13.4
(4 2 0), 54.86 deg, intensity 13.4
(3 3 6), 64.62 deg, intensity 12.9
(2 0 0), 23.79 deg, intensity 11.7
(3 2 1), 44.06 deg, intensity 11.3
(2 2 4), 41.75 deg, intensity 10.9

Cell and atoms:
abc: 7.481 7.481 15.042
angles: 90.00 90.00 90.00
Space group I4_1/acd (No. 142, origin choice 2)
Asymmetric unit:
Ho1 0.000 0.250 0.125 (multiplicity 8)
B1 0.139 0.081 0.294 (multiplicity 32)
Ru1 0.115 0.101 0.437 (multiplicity 32)

---

Starting from a GGA-PBE-relaxed structure, the powder X-ray diffraction pattern of HoB2Ru2 was simulated for CuKα.

Peak list (12 most intense, 2θ = 10–80°, in order of falling intensity)
(2 2 0), 30.58 deg, intensity 100.0
(2 0 2), 23.02 deg, intensity 90.1
(2 2 8), 45.63 deg, intensity 68.0
(2 0 6), 32.91 deg, intensity 61.3
(4 0 8), 55.90 deg, intensity 52.0
(0 0 8), 33.03 deg, intensity 50.2
(4 0 0), 43.80 deg, intensity 29.5
(4 2 2), 50.06 deg, intensity 27.2
(3 3 2), 47.37 deg, intensity 18.5
(2 0 14), 64.20 deg, intensity 17.0
(1 1 2), 17.23 deg, intensity 15.5
(2 2 16), 77.62 deg, intensity 14.0

Cell and atoms:
abc: 8.268 8.268 21.693
angles: 90.00 90.00 90.00
Space group I4_1/acd (No. 142, origin choice 2)
Asymmetric unit:
Ho1 0.000 0.000 0.000 (multiplicity 16)
B1 0.066 0.175 0.166 (multiplicity 32)
Ru1 0.024 0.046 0.370 (multiplicity 32)

---

Starting from a GGA-PBE-relaxed structure, the powder X-ray diffraction pattern of HoB2Ru3 was simulated for CuKα.

Peak list (12 most intense, 2θ = 10–80°, in order of falling intensity)
(2 0 0), 37.77 deg, intensity 100.0
(1 0 1), 35.05 deg, intensity 75.7
(1 1 1), 44.45 deg, intensity 46.0
(2 1 1), 59.71 deg, intensity 32.6
(2 0 2), 74.06 deg, intensity 27.2
(2 2 0), 68.19 deg, intensity 18.8
(3 1 1), 79.04 deg, intensity 14.4
(3 0 1), 66.45 deg, intensity 13.6
(2 0 1), 48.58 deg, intensity 10.3
(0 0 2), 61.04 deg, intensity 8.8
(1 0 0), 18.63 deg, intensity 6.0
(0 0 1), 29.42 deg, intensity 5.2

Cell and atoms:
abc: 5.5007 5.5007 3.0359
angles: 90.00 90.00 120.00
Space group P6/mmm (No. 191)
Asymmetric unit:
Ho1 0.0000 0.0000 0.0000 (multiplicity 1)
B1 0.3333 0.6667 0.0000 (multiplicity 2)
Ru1 0.0000 0.5000 0.5000 (multiplicity 3)

---

Starting from a GGA-PBE-relaxed structure, the powder X-ray diffraction pattern of Ho5Si2B8 was simulated for CuKα.

Peak list (12 most intense, 2θ = 10–80°, in order of falling intensity)
(2 0 2), 33.39 deg, intensity 100.0
(2 1 2), 35.70 deg, intensity 98.5
(2 1 0), 27.69 deg, intensity 67.5
(3 1 0), 39.56 deg, intensity 34.6
(4 1 2), 57.50 deg, intensity 31.4
(4 1 0), 52.36 deg, intensity 27.0
(3 3 2), 59.04 deg, intensity 24.6
(1 1 2), 28.27 deg, intensity 22.1
(0 0 2), 22.09 deg, intensity 21.6
(2 2 0), 35.23 deg, intensity 21.2
(2 0 1), 27.12 deg, intensity 20.5
(0 0 4), 45.07 deg, intensity 16.8

Cell and atoms:
abc: 7.205 7.205 8.046
angles: 90.00 90.00 90.00
Space group P4/mbm (No. 127)
Asymmetric unit:
Ho1 0.000 0.000 0.000 (multiplicity 2)
Ho2 0.181 0.319 0.276 (multiplicity 8)
Si1 0.115 0.615 0.000 (multiplicity 4)
B1 0.000 0.000 0.337 (multiplicity 4)
B2 0.039 0.827 0.500 (multiplicity 8)
B3 0.090 0.590 0.500 (multiplicity 4)

---

Starting from a GGA-PBE-relaxed structure, the powder X-ray diffraction pattern of HoVB4 was simulated for CuKα.

Peak list (12 most intense, 2θ = 10–80°, in order of falling intensity)
(2 1 1), 40.72 deg, intensity 100.0
(2 1 0), 30.84 deg, intensity 84.1
(0 0 1), 25.93 deg, intensity 64.0
(1 3 1), 38.13 deg, intensity 40.6
(1 3 0), 27.46 deg, intensity 38.6
(1 2 0), 21.33 deg, intensity 32.4
(1 2 1), 33.81 deg, intensity 27.1
(1 4 1), 43.55 deg, intensity 23.8
(2 1 2), 62.87 deg, intensity 22.2
(1 4 0), 34.37 deg, intensity 17.7
(2 3 1), 46.59 deg, intensity 17.5
(2 5 0), 49.74 deg, intensity 17.4

Cell and atoms:
abc: 5.990 11.595 3.436
angles: 90.00 90.00 90.00
Space group Pbam (No. 55)
Asymmetric unit:
Ho1 0.124 0.151 0.000 (multiplicity 4)
V1 0.127 0.417 0.000 (multiplicity 4)
B1 0.023 0.692 0.500 (multiplicity 4)
B2 0.115 0.548 0.500 (multiplicity 4)
B3 0.135 0.967 0.500 (multiplicity 4)
B4 0.213 0.814 0.500 (multiplicity 4)

---

Starting from a GGA-PBE-relaxed structure, the powder X-ray diffraction pattern of Ho3B7W was simulated for CuKα.

Peak list (12 most intense, 2θ = 10–80°, in order of falling intensity)
(1 1 0), 26.37 deg, intensity 100.0
(1 1 3), 39.07 deg, intensity 83.2
(0 4 2), 29.31 deg, intensity 79.0
(0 2 3), 30.49 deg, intensity 70.4
(1 5 1), 39.61 deg, intensity 63.9
(0 4 3), 36.34 deg, intensity 39.0
(0 6 0), 33.74 deg, intensity 32.2
(1 3 3), 42.35 deg, intensity 25.7
(0 6 1), 35.09 deg, intensity 25.7
(2 0 0), 52.95 deg, intensity 25.1
(1 5 0), 38.40 deg, intensity 24.7
(1 5 2), 43.07 deg, intensity 24.6

Cell and atoms:
abc: 3.459 15.939 9.460
angles: 90.00 90.00 90.00
Space group Cmcm (No. 63)
Asymmetric unit:
Ho1 0.000 0.107 0.060 (multiplicity 8)
Ho2 0.000 0.243 0.750 (multiplicity 4)
B1 0.000 0.273 0.033 (multiplicity 8)
B2 0.000 0.365 0.147 (multiplicity 8)
B3 0.000 0.455 0.750 (multiplicity 4)
B4 0.000 0.481 0.092 (multiplicity 8)
W1 0.000 0.053 0.750 (multiplicity 4)

---

Starting from a GGA-PBE-relaxed structure, the powder X-ray diffraction pattern of B5I was simulated for CuKα.

Peak list (12 most intense, 2θ = 10–80°, in order of falling intensity)
(1 1 -2), 21.88 deg, intensity 100.0
(0 2 1), 17.05 deg, intensity 97.6
(2 0 0), 29.93 deg, intensity 77.7
(1 1 2), 25.93 deg, intensity 64.5
(1 3 1), 28.99 deg, intensity 42.2
(2 2 -1), 33.16 deg, intensity 39.3
(0 4 4), 46.37 deg, intensity 37.0
(0 4 0), 29.65 deg, intensity 32.2
(1 3 -1), 27.25 deg, intensity 24.8
(1 3 -3), 35.55 deg, intensity 24.6
(1 5 -2), 42.98 deg, intensity 24.5
(1 5 2), 45.34 deg, intensity 22.5

Cell and atoms:
abc: 6.078 12.052 10.479
angles: 90.00 100.68 90.00
Space group C2/c (No. 15)
Asymmetric unit:
B1 0.129 0.145 0.233 (multiplicity 8)
B2 0.141 0.432 0.778 (multiplicity 8)
B3 0.205 0.283 0.194 (multiplicity 8)
B4 0.226 0.327 0.889 (multiplicity 8)
B5 0.248 0.198 0.950 (multiplicity 8)
I1 0.233 0.109 0.634 (multiplicity 8)

---

Starting from a GGA-PBE-relaxed structure, the powder X-ray diffraction pattern of BI3 was simulated for CuKα.

Peak list (12 most intense, 2θ = 10–80°, in order of falling intensity)
(1 1 1), 26.10 deg, intensity 100.0
(0 0 2), 20.10 deg, intensity 52.3
(1 1 3), 39.09 deg, intensity 33.8
(3 0 2), 47.25 deg, intensity 18.8
(1 1 2), 31.54 deg, intensity 17.7
(1 1 0), 24.04 deg, intensity 17.6
(1 0 1), 17.09 deg, intensity 14.1
(3 0 0), 42.29 deg, intensity 13.1
(1 2 2), 42.56 deg, intensity 12.0
(1 1 5), 57.82 deg, intensity 10.6
(3 0 4), 60.26 deg, intensity 9.0
(1 2 0), 37.10 deg, intensity 8.8

Cell and atoms:
abc: 7.4024 7.4024 8.8347
angles: 90.00 90.00 120.00
Space group P6_3/m (No. 176)
Asymmetric unit:
B1 0.3333 0.6667 0.2500 (multiplicity 2)
I1 0.0466 0.3780 0.2500 (multiplicity 6)